Record 1
Diffraction record for MnV2P2H8O14. The X-ray diffraction stick pattern is computed, not measured: it uses a structure optimized by DFT (PBE+U) and a wavelength of 1.5418 Å.

Atomic structure:
```
data_MnV2P2H8O14
_chemical_formula_sum 'Mn2 V4 P4 H16 O28'
_cell_length_a 6.357
_cell_length_b 6.357
_cell_length_c 13.677
_cell_angle_alpha 90.00
_cell_angle_beta 90.00
_cell_angle_gamma 90.00
_symmetry_space_group_name_H-M 'I 4/m'
_symmetry_Int_Tables_number 87
_symmetry_space_group_name_Hall '-I 4'
loop_
_atom_site_label
_atom_site_type_symbol
_atom_site_fract_x
_atom_site_fract_y
_atom_site_fract_z
Mn1 Mn 0.000 0.000 0.000
V1 V 0.000 0.000 0.278
P1 P 0.000 0.500 0.250
H1 H 0.121 0.678 0.441
O1 O 0.000 0.000 0.157
O2 O 0.016 0.696 0.318
O3 O 0.188 0.289 0.000
```

The 10 most intense peaks (5 to 70 degrees two-theta), low angle first:
2θ/deg	Rel. int.	h k l
12.95	100	0 0 2
15.37	27	1 0 1
24.02	77	1 0 3
26.06	55	0 0 4
28.08	78	2 0 0
31.03	88	2 0 2
32.16	50	1 2 1
45.10	29	3 1 0
48.47	36	2 2 4
48.76	24	1 0 7

---

Record 2
Diffraction record for PaMnH2O6. The X-ray diffraction stick pattern is computed, not measured: it uses a structure optimized by DFT (PBE+U) and a wavelength of 1.5418 Å.

Atomic structure:
```
data_PaMnH2O6
_chemical_formula_sum 'Pa1 Mn1 H2 O6'
_cell_length_a 5.011
_cell_length_b 5.055
_cell_length_c 5.561
_cell_angle_alpha 67.52
_cell_angle_beta 64.31
_cell_angle_gamma 64.71
_symmetry_space_group_name_H-M 'P -1'
_symmetry_Int_Tables_number 2
loop_
_symmetry_equiv_pos_as_xyz
'x,y,z'
'-x,-y,-z'
loop_
_atom_site_label
_atom_site_type_symbol
_atom_site_fract_x
_atom_site_fract_y
_atom_site_fract_z
Pa1 Pa 0.000 0.000 0.000
Mn1 Mn 0.500 0.500 0.500
H1 H 0.206 0.383 0.310
O1 O 0.136 0.744 0.722
O2 O 0.266 0.561 0.270
O3 O 0.385 0.157 0.744
```

The 10 most intense peaks (5 to 70 degrees two-theta), low angle first:
2θ/deg	Rel. int.	h k l
18.25	45	0 0 1
20.02	35	0 1 0
20.72	38	1 0 0
21.96	34	1 1 1
22.79	100	1 0 1
23.66	92	0 1 1
23.92	87	1 1 0
30.39	46	0 1 -1
31.99	36	1 0 -1
32.85	37	1 1 2